# Pr6ZnTe3Se2
Computed powder diffraction line list, CuKα. Input: a PBE-relaxed structure.

Crystal structure
```
data_Pr6ZnTe3Se2
_chemical_formula_sum 'Pr12 Zn2 Te6 Se4'
_space_group_name_H-M_alt 'C 1 2/m 1'
_space_group_IT_number 12
_cell_length_a 7.5895
_cell_length_b 13.1132
_cell_length_c 7.7656
_cell_angle_alpha 90.00
_cell_angle_beta 108.93
_cell_angle_gamma 90.00
loop_
_space_group_symop_operation_xyz
'x,y,z'
'-x,-y,-z'
'-x,y,-z'
'x,-y,z'
'x+1/2,y+1/2,z'
'-x+1/2,-y+1/2,-z'
'-x+1/2,y+1/2,-z'
'x+1/2,-y+1/2,z'
loop_
_atom_site_label
_atom_site_type_symbol
_atom_site_fract_x
_atom_site_fract_y
_atom_site_fract_z
Pr1 Pr 0.2413 0.1659 0.2283
Pr2 Pr 0.2448 0.5000 0.2269
Zn1 Zn 0.0000 0.0000 0.0000
Te1 Te 0.0000 0.1676 0.5000
Te2 Te 0.0000 0.5000 0.5000
Se1 Se 0.0000 0.3340 0.0000
```

Principal peaks in the range 2θ from 10° to 80°, by angle:
d/Å  I_rel
3.123  100
2.228  37
2.188  38
1.836  6
1.795  7
1.791  13
1.561  12
1.408  5
1.406  10
1.387  11
1.385  6
1.270  8

***

# Pr2Th3Se6
Computed powder diffraction line list, CuKα. Input: a PBE-relaxed structure.

Crystal structure
```
data_Pr2Th3Se6
_chemical_formula_sum 'Pr4 Th6 Se12'
_space_group_name_H-M_alt 'C 1 2/m 1'
_space_group_IT_number 12
_cell_length_a 7.2260
_cell_length_b 12.5950
_cell_length_c 7.3252
_cell_angle_alpha 90.00
_cell_angle_beta 109.44
_cell_angle_gamma 90.00
loop_
_space_group_symop_operation_xyz
'x,y,z'
'-x,-y,-z'
'-x,y,-z'
'x,-y,z'
'x+1/2,y+1/2,z'
'-x+1/2,-y+1/2,-z'
'-x+1/2,y+1/2,-z'
'x+1/2,-y+1/2,z'
loop_
_atom_site_label
_atom_site_type_symbol
_atom_site_fract_x
_atom_site_fract_y
_atom_site_fract_z
Pr1 Pr 0.0000 0.1665 0.0000
Th1 Th 0.0000 0.0000 0.5000
Th2 Th 0.0000 0.3326 0.5000
Se1 Se 0.2396 0.5000 0.7536
Se2 Se 0.2428 0.3392 0.2465
```

Principal peaks in the range 2θ from 10° to 80°, by angle:
d/Å  I_rel
6.908  16
3.570  12
3.428  10
2.970  100
2.111  26
2.100  25
2.089  25
1.714  13
1.485  12
1.334  12
1.328  11
1.323  11

***

What is the formula in the first record?
Pr6ZnTe3Se2